For KV3Ge2O9, a DFT-relaxed cell (GGA+U, Alexandria) gives the calculated powder diffraction line list in this record (Cu Kα (weighted mean of Kα1 and Kα2)).
Peak positions follow from Bragg's law for the DFT cell and can differ from measured ones.

Top 12 peaks for 10 to 90 degrees two-theta, by angle:
two_theta  d_spacing  I (rel.)  h k l
12.82  6.905  98  0 0 2
17.09  5.188  45  1 0 0
29.83  2.996  31  1 1 0
31.12  2.874  100  1 0 4
32.58  2.748  18  1 1 2
34.57  2.594  44  2 0 0
37.02  2.428  21  2 0 2
39.87  2.261  42  2 0 3
53.76  1.705  40  2 1 4
61.97  1.497  35  2 2 0
64.87  1.437  28  2 0 8
70.96  1.328  17  3 1 4

Structural model:
```
KV3Ge2O9
1.0
5.9912 0.0000 0.0000
-2.9956 5.1885 0.0000
0.0000 0.0000 13.8093
K V Ge O
2 6 4 18
Cartesian
0.0000 3.4590 3.4523 K
2.9956 1.7295 10.3570 K
-1.4978 2.5942 0.0000 V
-1.4978 2.5942 6.9047 V
2.9956 0.0000 0.0000 V
2.9956 0.0000 6.9047 V
1.4978 2.5942 0.0000 V
1.4978 2.5942 6.9047 V
0.0000 0.0000 1.6923 Ge
0.0000 0.0000 5.2124 Ge
0.0000 0.0000 8.5969 Ge
0.0000 0.0000 12.1170 Ge
0.0000 0.0000 3.4523 O
0.0000 0.0000 10.3570 O
0.0000 1.7148 1.1914 O
0.0000 1.7148 5.7133 O
-1.5105 4.3311 1.1914 O
-1.5105 4.3311 5.7133 O
1.4851 0.8574 8.0960 O
1.4851 0.8574 12.6179 O
0.0000 3.4590 7.8368 O
0.0000 3.4590 12.8771 O
2.9956 1.7295 0.9322 O
2.9956 1.7295 5.9725 O
1.5105 4.3311 1.1914 O
1.5105 4.3311 5.7133 O
4.5061 0.8574 8.0960 O
4.5061 0.8574 12.6179 O
2.9956 3.4736 8.0960 O
2.9956 3.4736 12.6179 O
```